Ce2Ga5I12: calculated X-ray powder pattern (Cu Kα (λ = 1.5418 Å)), based on a cell relaxed with PBE.

Structure:
Lattice parameters (Å, degrees): 9.993 9.993 11.049 105.01 105.01 53.10
Sites, in units of the cell vectors:
Ce (0.249, 0.751, 0.000)
Ce (0.751, 0.249, 0.000)
Ga (0.184, 0.184, 0.734)
Ga (0.223, 0.223, 0.380)
Ga (0.500, 0.500, 0.500)
Ga (0.777, 0.777, 0.620)
Ga (0.816, 0.816, 0.266)
I (0.012, 0.012, 0.805)
I (0.068, 0.586, 0.878)
I (0.112, 0.613, 0.463)
I (0.387, 0.888, 0.537)
I (0.414, 0.932, 0.122)
I (0.475, 0.475, 0.184)
I (0.525, 0.525, 0.816)
I (0.586, 0.068, 0.878)
I (0.613, 0.112, 0.463)
I (0.888, 0.387, 0.537)
I (0.932, 0.414, 0.122)
I (0.988, 0.988, 0.195)

Principal peaks in the range 10° ≤ 2θ ≤ 80°, sorted by position:
d 3.928, 2θ 22.64, I = 52.7
d 3.618, 2θ 24.60, I = 44.1
d 3.412, 2θ 26.12, I = 97.3
d 3.395, 2θ 26.25, I = 100.0
d 3.089, 2θ 28.90, I = 54.6
d 2.852, 2θ 31.37, I = 49.5
d 2.828, 2θ 31.64, I = 39.5
d 2.610, 2θ 34.36, I = 38.8
d 2.473, 2θ 36.32, I = 54.3
d 2.233, 2θ 40.39, I = 51.0


RbCeGaI6: calculated X-ray powder pattern (Cu Kα (λ = 1.5418 Å)), based on a cell relaxed with PBE.

Structure:
Lattice parameters (Å, degrees): 7.942 7.942 14.472 90.00 90.00 90.00
Sites, in units of the cell vectors:
Rb (0.000, 0.000, 0.000)
Rb (0.500, 0.500, 0.500)
Ce (0.000, 0.000, 0.336)
Ce (0.500, 0.500, 0.836)
Ga (0.000, 0.000, 0.664)
Ga (0.500, 0.500, 0.164)
I (0.176, 0.176, 0.499)
I (0.205, 0.205, 0.199)
I (0.231, 0.231, 0.823)
I (0.269, 0.731, 0.323)
I (0.295, 0.705, 0.699)
I (0.324, 0.676, 0.999)
I (0.676, 0.324, 0.999)
I (0.705, 0.295, 0.699)
I (0.731, 0.269, 0.323)
I (0.769, 0.769, 0.823)
I (0.795, 0.795, 0.199)
I (0.824, 0.824, 0.499)

Principal peaks in the range 10° ≤ 2θ ≤ 80°, sorted by position:
d 6.962, 2θ 12.71, I = 21.2
d 5.616, 2θ 15.78, I = 47.6
d 3.659, 2θ 24.32, I = 100.0
d 3.552, 2θ 25.07, I = 31.1
d 2.860, 2θ 31.27, I = 51.0
d 2.808, 2θ 31.87, I = 39.5
d 2.412, 2θ 37.28, I = 15.4
d 2.321, 2θ 38.80, I = 44.8
d 2.228, 2θ 40.49, I = 20.0
d 1.830, 2θ 49.84, I = 15.5


Ce5In2Ga4: calculated X-ray powder pattern (Cu Kα (λ = 1.5418 Å)), based on a cell relaxed with PBE.

Structure:
Lattice parameters (Å, degrees): 15.895 15.895 15.895 168.77 152.32 29.96
Sites, in units of the cell vectors:
Ce (0.000, 0.000, 0.000)
Ce (0.009, 0.689, 0.320)
Ce (0.369, 0.689, 0.680)
Ce (0.631, 0.311, 0.320)
Ce (0.991, 0.311, 0.680)
In (0.092, 0.592, 0.500)
In (0.908, 0.408, 0.500)
Ga (0.276, 0.776, 0.500)
Ga (0.337, 0.500, 0.837)
Ga (0.663, 0.500, 0.163)
Ga (0.724, 0.224, 0.500)

Principal peaks in the range 10° ≤ 2θ ≤ 80°, sorted by position:
d 7.678, 2θ 11.53, I = 37.0
d 7.382, 2θ 11.99, I = 100.0
d 5.118, 2θ 17.33, I = 26.7
d 3.071, 2θ 29.08, I = 53.4
d 2.829, 2θ 31.62, I = 36.4
d 2.699, 2θ 33.19, I = 27.3
d 2.621, 2θ 34.21, I = 32.8
d 2.461, 2θ 36.52, I = 43.0
d 2.241, 2θ 40.24, I = 77.0
d 2.078, 2θ 43.56, I = 30.2


Ce4In3Ga: calculated X-ray powder pattern (Cu Kα (λ = 1.5418 Å)), based on a cell relaxed with PBE.

Structure:
Lattice parameters (Å, degrees): 9.606 9.606 4.301 102.87 102.87 31.45
Sites, in units of the cell vectors:
Ce (0.121, 0.121, 0.120)
Ce (0.230, 0.230, 0.731)
Ce (0.770, 0.770, 0.269)
Ce (0.879, 0.879, 0.880)
In (0.375, 0.375, 0.376)
In (0.500, 0.500, 0.000)
In (0.625, 0.625, 0.624)
Ga (0.000, 0.000, 0.500)

Principal peaks in the range 10° ≤ 2θ ≤ 80°, sorted by position:
d 2.669, 2θ 33.58, I = 100.0
d 2.604, 2θ 34.45, I = 25.2
d 2.249, 2θ 40.10, I = 12.4
d 2.150, 2θ 42.02, I = 14.5
d 1.702, 2θ 53.87, I = 10.1
d 1.658, 2θ 55.42, I = 12.7
d 1.515, 2θ 61.16, I = 17.3
d 1.366, 2θ 68.71, I = 6.7
d 1.335, 2θ 70.58, I = 8.9
d 1.321, 2θ 71.39, I = 10.8


Ce5In3Ga3: calculated X-ray powder pattern (Cu Kα (λ = 1.5418 Å)), based on a cell relaxed with PBE.

Structure:
Lattice parameters (Å, degrees): 10.050 10.050 3.239 90.00 90.00 120.00
Sites, in units of the cell vectors:
Ce (0.000, 0.654, 0.000)
Ce (0.333, 0.667, 0.000)
Ce (0.346, 0.346, 0.000)
Ce (0.654, 0.000, 0.000)
Ce (0.667, 0.333, 0.000)
In (0.000, 0.372, 0.500)
In (0.372, 0.000, 0.500)
In (0.628, 0.628, 0.500)
Ga (0.000, 0.146, 0.000)
Ga (0.146, 0.000, 0.000)
Ga (0.854, 0.854, 0.000)

Principal peaks in the range 10° ≤ 2θ ≤ 80°, sorted by position:
d 3.239, 2θ 27.54, I = 17.0
d 2.901, 2θ 30.82, I = 100.0
d 2.722, 2θ 32.90, I = 90.9
d 2.414, 2θ 37.25, I = 28.4
d 2.308, 2θ 39.03, I = 24.9
d 1.985, 2θ 45.70, I = 48.4
d 1.675, 2θ 54.81, I = 14.4
d 1.638, 2θ 56.14, I = 18.6
d 1.451, 2θ 64.21, I = 13.8
d 1.414, 2θ 66.08, I = 22.0


Ce3InGa2: calculated X-ray powder pattern (Cu Kα (λ = 1.5418 Å)), based on a cell relaxed with PBE.

Structure:
Lattice parameters (Å, degrees): 3.272 3.272 13.445 90.00 90.00 90.00
Sites, in units of the cell vectors:
Ce (0.000, 0.000, 0.000)
Ce (0.000, 0.000, 0.316)
Ce (0.000, 0.000, 0.684)
In (0.500, 0.500, 0.500)
Ga (0.500, 0.500, 0.159)
Ga (0.500, 0.500, 0.841)

Principal peaks in the range 10° ≤ 2θ ≤ 80°, sorted by position:
d 4.482, 2θ 19.81, I = 4.3
d 3.272, 2θ 27.25, I = 4.7
d 2.643, 2θ 33.92, I = 100.0
d 2.314, 2θ 38.92, I = 35.9
d 2.241, 2θ 40.24, I = 13.4
d 1.636, 2θ 56.22, I = 12.1
d 1.610, 2θ 57.23, I = 18.8
d 1.391, 2θ 67.30, I = 26.6
d 1.359, 2θ 69.12, I = 8.2
d 1.321, 2θ 71.38, I = 9.6


Ce5InGa3: calculated X-ray powder pattern (Cu Kα (λ = 1.5418 Å)), based on a cell relaxed with PBE.

Structure:
Lattice parameters (Å, degrees): 9.117 9.117 6.355 90.00 90.00 120.00
Sites, in units of the cell vectors:
Ce (0.000, 0.312, 0.250)
Ce (0.000, 0.688, 0.750)
Ce (0.312, 0.000, 0.250)
Ce (0.312, 0.312, 0.750)
Ce (0.333, 0.667, 0.000)
Ce (0.333, 0.667, 0.500)
Ce (0.667, 0.333, 0.000)
Ce (0.667, 0.333, 0.500)
Ce (0.688, 0.000, 0.750)
Ce (0.688, 0.688, 0.250)
In (0.000, 0.000, 0.000)
In (0.000, 0.000, 0.500)
Ga (0.000, 0.354, 0.750)
Ga (0.000, 0.646, 0.250)
Ga (0.354, 0.000, 0.750)
Ga (0.354, 0.354, 0.250)
Ga (0.646, 0.000, 0.250)
Ga (0.646, 0.646, 0.750)

Principal peaks in the range 10° ≤ 2θ ≤ 80°, sorted by position:
d 3.704, 2θ 24.02, I = 13.8
d 2.701, 2θ 33.16, I = 7.0
d 2.632, 2θ 34.06, I = 100.0
d 2.607, 2θ 34.40, I = 97.9
d 1.852, 2θ 49.20, I = 33.8
d 1.589, 2θ 58.05, I = 7.6
d 1.520, 2θ 60.97, I = 16.0
d 1.515, 2θ 61.19, I = 32.9
d 1.360, 2θ 69.05, I = 25.0
d 1.316, 2θ 71.72, I = 9.1


CeNdInGa: calculated X-ray powder pattern (Cu Kα (λ = 1.5418 Å)), based on a cell relaxed with PBE.

Structure:
Lattice parameters (Å, degrees): 3.460 3.460 8.744 90.00 90.00 90.00
Sites, in units of the cell vectors:
Ce (0.000, 0.000, 0.000)
Nd (0.000, 0.000, 0.537)
In (0.500, 0.500, 0.266)
Ga (0.500, 0.500, 0.771)

Principal peaks in the range 10° ≤ 2θ ≤ 80°, sorted by position:
d 3.218, 2θ 27.72, I = 4.3
d 2.713, 2θ 33.01, I = 100.0
d 2.447, 2θ 36.73, I = 38.6
d 2.186, 2θ 41.30, I = 12.2
d 1.730, 2θ 52.92, I = 13.4
d 1.630, 2θ 56.44, I = 19.2
d 1.459, 2θ 63.80, I = 29.2
d 1.357, 2θ 69.25, I = 10.3
d 1.343, 2θ 70.05, I = 8.4
d 1.223, 2θ 78.12, I = 4.2


Ce2Zn4InGa3: calculated X-ray powder pattern (Cu Kα (λ = 1.5418 Å)), based on a cell relaxed with PBE.

Structure:
Lattice parameters (Å, degrees): 4.300 4.300 10.801 90.00 90.00 90.00
Sites, in units of the cell vectors:
Ce (0.000, 0.500, 0.238)
Ce (0.500, 0.000, 0.762)
Zn (0.000, 0.000, 0.000)
Zn (0.000, 0.500, 0.647)
Zn (0.500, 0.000, 0.353)
Zn (0.500, 0.500, 0.000)
In (0.000, 0.000, 0.500)
Ga (0.000, 0.500, 0.870)
Ga (0.500, 0.000, 0.130)
Ga (0.500, 0.500, 0.500)

Principal peaks in the range 10° ≤ 2θ ≤ 80°, sorted by position:
d 3.041, 2θ 29.37, I = 9.3
d 2.761, 2θ 32.43, I = 46.1
d 2.650, 2θ 33.83, I = 100.0
d 2.150, 2θ 42.02, I = 51.6
d 2.019, 2θ 44.89, I = 11.7
d 1.930, 2θ 47.08, I = 24.6
d 1.696, 2θ 54.06, I = 21.3
d 1.520, 2θ 60.94, I = 16.6
d 1.436, 2θ 64.92, I = 18.3
d 1.319, 2θ 71.55, I = 21.5


CeGa3Ir: calculated X-ray powder pattern (Cu Kα (λ = 1.5418 Å)), based on a cell relaxed with PBE.

Structure:
Lattice parameters (Å, degrees): 6.150 6.150 6.150 139.58 139.58 58.49
Sites, in units of the cell vectors:
Ce (0.000, 0.000, 0.000)
Ga (0.256, 0.756, 0.500)
Ga (0.407, 0.407, 0.000)
Ga (0.756, 0.256, 0.500)
Ir (0.633, 0.633, 0.000)

Principal peaks in the range 10° ≤ 2θ ≤ 80°, sorted by position:
d 3.951, 2θ 22.50, I = 32.7
d 3.005, 2θ 29.73, I = 44.1
d 2.737, 2θ 32.72, I = 100.0
d 2.622, 2θ 34.20, I = 99.7
d 2.125, 2θ 42.55, I = 77.8
d 2.001, 2θ 45.31, I = 30.8
d 1.916, 2θ 47.45, I = 47.9
d 1.678, 2θ 54.69, I = 47.0
d 1.502, 2θ 61.75, I = 25.5
d 1.423, 2θ 65.61, I = 36.2


Ce5Ga2Ir5: calculated X-ray powder pattern (Cu Kα (λ = 1.5418 Å)), based on a cell relaxed with PBE.

Structure:
Lattice parameters (Å, degrees): 7.029 7.029 10.666 100.58 100.58 31.65
Sites, in units of the cell vectors:
Ce (0.000, 0.000, 0.000)
Ce (0.144, 0.144, 0.559)
Ce (0.260, 0.260, 0.862)
Ce (0.740, 0.740, 0.138)
Ce (0.856, 0.856, 0.441)
Ga (0.445, 0.445, 0.715)
Ga (0.555, 0.555, 0.285)
Ir (0.197, 0.197, 0.314)
Ir (0.390, 0.390, 0.111)
Ir (0.500, 0.500, 0.500)
Ir (0.610, 0.610, 0.889)
Ir (0.803, 0.803, 0.686)

Principal peaks in the range 10° ≤ 2θ ≤ 80°, sorted by position:
d 3.775, 2θ 23.57, I = 69.9
d 3.364, 2θ 26.50, I = 48.5
d 2.887, 2θ 30.98, I = 100.0
d 2.707, 2θ 33.09, I = 60.7
d 2.681, 2θ 33.42, I = 82.5
d 2.611, 2θ 34.34, I = 47.4
d 2.411, 2θ 37.30, I = 43.6
d 2.189, 2θ 41.23, I = 43.0
d 2.085, 2θ 43.40, I = 56.4
d 1.917, 2θ 47.43, I = 55.1


Ce4Ga2Ir: calculated X-ray powder pattern (Cu Kα (λ = 1.5418 Å)), based on a cell relaxed with PBE.

Structure:
Lattice parameters (Å, degrees): 5.971 5.971 4.486 90.00 90.00 95.77
Sites, in units of the cell vectors:
Ce (0.000, 0.500, 0.500)
Ce (0.169, 0.169, 0.000)
Ce (0.500, 0.000, 0.500)
Ce (0.831, 0.831, 0.000)
Ga (0.326, 0.674, 0.000)
Ga (0.674, 0.326, 0.000)
Ir (0.500, 0.500, 0.500)

Principal peaks in the range 10° ≤ 2θ ≤ 80°, sorted by position:
d 3.580, 2θ 24.87, I = 35.6
d 3.152, 2θ 28.32, I = 15.8
d 2.556, 2θ 35.11, I = 31.8
d 2.477, 2θ 36.27, I = 100.0
d 2.357, 2θ 38.18, I = 39.1
d 2.243, 2θ 40.20, I = 30.6
d 2.215, 2θ 40.74, I = 18.0
d 1.686, 2θ 54.42, I = 18.2
d 1.410, 2θ 66.30, I = 14.3
d 1.336, 2θ 70.51, I = 15.1


LiCe2Ga3Ir4: calculated X-ray powder pattern (Cu Kα (λ = 1.5418 Å)), based on a cell relaxed with PBE.

Structure:
Lattice parameters (Å, degrees): 4.094 4.094 10.936 90.00 90.00 90.00
Sites, in units of the cell vectors:
Li (0.000, 0.000, 0.000)
Ce (0.000, 0.500, 0.751)
Ce (0.500, 0.000, 0.249)
Ga (0.000, 0.500, 0.372)
Ga (0.500, 0.000, 0.628)
Ga (0.500, 0.500, 0.000)
Ir (0.000, 0.000, 0.500)
Ir (0.000, 0.500, 0.146)
Ir (0.500, 0.000, 0.854)
Ir (0.500, 0.500, 0.500)

Principal peaks in the range 10° ≤ 2θ ≤ 80°, sorted by position:
d 3.645, 2θ 24.42, I = 26.2
d 2.798, 2θ 31.98, I = 33.3
d 2.723, 2θ 32.90, I = 46.8
d 2.558, 2θ 35.08, I = 100.0
d 2.047, 2θ 44.25, I = 59.3
d 1.988, 2θ 45.64, I = 29.3
d 1.929, 2θ 47.11, I = 36.9
d 1.636, 2θ 56.21, I = 22.8
d 1.404, 2θ 66.61, I = 26.1
d 1.260, 2θ 75.46, I = 21.8


CeGaP2Ir5: calculated X-ray powder pattern (Cu Kα (λ = 1.5418 Å)), based on a cell relaxed with PBE.

Structure:
Lattice parameters (Å, degrees): 4.054 4.054 9.866 90.00 90.00 90.00
Sites, in units of the cell vectors:
Ce (0.000, 0.000, 0.000)
Ga (0.000, 0.000, 0.500)
P (0.500, 0.500, 0.232)
P (0.500, 0.500, 0.768)
Ir (0.000, 0.500, 0.340)
Ir (0.000, 0.500, 0.660)
Ir (0.500, 0.000, 0.340)
Ir (0.500, 0.000, 0.660)
Ir (0.500, 0.500, 0.000)

Principal peaks in the range 10° ≤ 2θ ≤ 80°, sorted by position:
d 3.289, 2θ 27.11, I = 87.4
d 2.753, 2θ 32.53, I = 100.0
d 2.478, 2θ 36.25, I = 75.9
d 2.161, 2θ 41.80, I = 30.6
d 2.027, 2θ 44.71, I = 70.3
d 1.870, 2θ 48.70, I = 63.9
d 1.725, 2θ 53.07, I = 56.4
d 1.433, 2θ 65.08, I = 23.1
d 1.314, 2θ 71.85, I = 23.1
d 1.277, 2θ 74.27, I = 25.5